InSb4Se: simulated powder XRD pattern (Cu Kα, 1.54184 Å), based on a crystal structure in Alexandria, relaxed with PBE.
Intensities are scaled so that the largest is 100.

Principal peaks in the range 15 to 90 degrees two-theta, by angle:
17.4°, I 13
28.6°, I 21
33.6°, I 100
35.2°, I 48
50.6°, I 8
53.9°, I 35
59.1°, I 30
69.8°, I 11
70.7°, I 18
84.2°, I 21

```
6
Lattice="0.0000 4.4181 4.4181 4.4181 0.0000 4.4181 4.4181 4.4181 0.0000" Properties=species:S:1:pos:R:3 pbc="T T T"
In 0.0000 0.0000 0.0000
Sb 5.4923 3.3439 3.3439
Sb 3.3439 5.4923 3.3439
Sb 3.3439 3.3439 5.4923
Sb 5.4923 5.4923 5.4923
Se 2.2091 2.2091 2.2091
```